This entry pairs a crystal structure of Ho3TmO6 with its computed powder XRD pattern. Radiation: Cu Kα X-rays. Structure: a PBE-relaxed structure.
Peak positions follow from Bragg's law for the DFT cell and can differ from measured ones.

Cell and atoms:
Lattice parameters (Å, degrees): 9.5649 9.5649 11.2272 90.00 90.00 120.00
Space group R-3 (No. 148, hexagonal axes)
Symmetry-distinct sites (fractional):
Ho1 0.0394 0.7735 0.2091
Tm1 0.0000 0.0000 0.0000
Tm2 0.0000 0.0000 0.5000
O1 0.0263 0.8094 0.4028
O2 0.0280 0.8406 0.8717

Peak list (10 most intense, 2θ from 10° to 90°, by angle)
- 2θ 23.78, 3.742 Å, rel. 37, (0 0 3)
- 2θ 26.75, 3.333 Å, rel. 40, (2 0 2)
- 2θ 29.62, 3.016 Å, rel. 100, (3 -1 1)
- 2θ 30.33, 2.947 Å, rel. 45, (2 -1 3)
- 2θ 32.43, 2.761 Å, rel. 21, (3 0 0)
- 2θ 32.75, 2.734 Å, rel. 89, (1 2 2)
- 2θ 42.52, 2.126 Å, rel. 21, (4 -1 2)
- 2θ 43.29, 2.090 Å, rel. 33, (3 -1 4)
- 2θ 50.49, 1.808 Å, rel. 38, (4 1 0)
- 2θ 52.52, 1.743 Å, rel. 25, (1 1 6)

=====

This entry pairs a crystal structure of Ho2TmUO8 with its computed powder XRD pattern. Radiation: Cu Kα X-rays. Structure: a PBE-relaxed structure.
Peak positions follow from Bragg's law for the DFT cell and can differ from measured ones.

Cell and atoms:
Lattice parameters (Å, degrees): 3.833 5.289 7.487 90.00 90.00 90.00
Space group Pmmm (No. 47)
Symmetry-distinct sites (fractional):
Ho1 0.000 0.000 0.248
Tm1 0.500 0.500 0.000
U1 0.500 0.500 0.500
O1 0.000 0.253 0.000
O2 0.000 0.266 0.500
O3 0.500 0.259 0.268

Peak list (10 most intense, 2θ from 10° to 90°, by angle)
- 2θ 28.76, 3.104 Å, rel. 100, (1 1 0)
- 2θ 29.23, 3.056 Å, rel. 96, (0 1 2)
- 2θ 33.46, 2.678 Å, rel. 45, (1 0 2)
- 2θ 33.90, 2.644 Å, rel. 22, (0 2 0)
- 2θ 47.44, 1.917 Å, rel. 17, (2 0 0)
- 2θ 48.37, 1.882 Å, rel. 66, (1 2 2)
- 2θ 48.64, 1.872 Å, rel. 16, (0 0 4)
- 2θ 56.70, 1.624 Å, rel. 31, (2 1 2)
- 2θ 57.51, 1.602 Å, rel. 44, (1 3 0)
- 2θ 57.81, 1.595 Å, rel. 14, (0 3 2)